(1)
Diffraction record for CaPb3F8. The X-ray diffraction stick pattern is computed, not measured: it uses a GGA-PBE-relaxed structure and Cu Kα, 1.54184 Å.
Neutral-atom scattering factors, no anomalous dispersion.

Top 10 peaks for 2θ = 10–90°, sorted by position:
| d_spacing | I_rel |
| --- | --- |
| 5.876 | 14 |
| 4.155 | 14 |
| 3.393 | 100 |
| 2.938 | 29 |
| 2.078 | 59 |
| 1.772 | 49 |
| 1.348 | 20 |
| 1.314 | 13 |
| 1.200 | 19 |
| 1.131 | 16 |

Atomic structure:
```
CaPb3F8
1.0
5.876 0.000 0.000
0.000 5.876 0.000
0.000 0.000 5.876
Ca Pb F
1 3 8
Direct
0.000 0.000 0.000
0.000 0.500 0.500
0.500 0.000 0.500
0.500 0.500 0.000
0.240 0.240 0.240
0.240 0.240 0.760
0.240 0.760 0.240
0.240 0.760 0.760
0.760 0.240 0.240
0.760 0.240 0.760
0.760 0.760 0.240
0.760 0.760 0.760
```

(2)
Diffraction record for Ca2PbF6. The X-ray diffraction stick pattern is computed, not measured: it uses a GGA-PBE-relaxed structure and Cu Kα, 1.54184 Å.
Neutral-atom scattering factors, no anomalous dispersion.

Top 10 peaks for 2θ = 10–90°, sorted by position:
| d_spacing | I_rel |
| --- | --- |
| 5.243 | 44 |
| 3.627 | 100 |
| 3.027 | 27 |
| 2.593 | 18 |
| 2.324 | 30 |
| 2.265 | 13 |
| 1.933 | 33 |
| 1.843 | 30 |
| 1.748 | 16 |
| 1.397 | 12 |

Atomic structure:
```
Ca2PbF6
1.0
6.054 0.000 0.000
-3.027 5.243 0.000
0.000 0.000 5.024
Ca Pb F
2 1 6
Direct
0.333 0.667 0.000
0.667 0.333 0.000
0.000 0.000 0.500
0.000 0.347 0.227
0.000 0.653 0.773
0.347 0.000 0.227
0.347 0.347 0.773
0.653 0.000 0.773
0.653 0.653 0.227
```

(3)
Diffraction record for RbCa2PbF8. The X-ray diffraction stick pattern is computed, not measured: it uses a GGA-PBE-relaxed structure and Cu Kα, 1.54184 Å.
Neutral-atom scattering factors, no anomalous dispersion.

Top 10 peaks for 2θ = 10–90°, sorted by position:
| d_spacing | I_rel |
| --- | --- |
| 7.946 | 40 |
| 5.851 | 44 |
| 4.711 | 28 |
| 3.378 | 100 |
| 3.287 | 100 |
| 2.573 | 35 |
| 2.069 | 26 |
| 2.047 | 94 |
| 1.751 | 46 |
| 1.712 | 28 |

Atomic structure:
```
RbCa2PbF8
1.0
4.137 0.000 0.000
0.000 5.851 0.000
0.000 0.000 7.946
Rb Ca Pb F
1 2 1 8
Direct
0.000 0.000 0.000
0.500 0.500 0.240
0.500 0.500 0.760
0.000 0.000 0.500
0.000 0.273 0.284
0.000 0.273 0.716
0.000 0.727 0.284
0.000 0.727 0.716
0.500 0.231 0.500
0.500 0.287 0.000
0.500 0.713 0.000
0.500 0.769 0.500
```